The following is a theoretical powder diffractogram of Cs2CdP2O7. It was derived from the GGA-PBE geometry in OQMD, using Cu Ka.

abc: 16.077 5.506 9.948
angles: 90.00 90.00 90.00
Atoms (fractional coordinates):
Cs 0.080 0.250 0.147
Cs 0.108 0.750 0.536
Cs 0.392 0.250 0.036
Cs 0.420 0.750 0.647
Cs 0.580 0.250 0.353
Cs 0.608 0.750 0.964
Cs 0.892 0.250 0.464
Cs 0.920 0.750 0.853
Cd 0.189 0.750 0.892
Cd 0.311 0.250 0.392
Cd 0.689 0.750 0.608
Cd 0.811 0.250 0.108
P 0.086 0.250 0.764
P 0.231 0.750 0.235
P 0.269 0.250 0.735
P 0.414 0.750 0.264
P 0.586 0.250 0.736
P 0.731 0.750 0.265
P 0.769 0.250 0.765
P 0.914 0.750 0.236
O 0.020 0.250 0.655
O 0.087 0.019 0.850
O 0.087 0.481 0.850
O 0.174 0.250 0.676
O 0.176 0.750 0.110
O 0.218 0.520 0.319
O 0.218 0.980 0.319
O 0.282 0.020 0.819
O 0.282 0.480 0.819
O 0.324 0.250 0.610
O 0.326 0.750 0.176
O 0.413 0.519 0.350
O 0.413 0.981 0.350
O 0.480 0.750 0.155
O 0.520 0.250 0.845
O 0.587 0.019 0.650
O 0.587 0.481 0.650
O 0.674 0.250 0.824
O 0.676 0.750 0.390
O 0.718 0.520 0.181
O 0.718 0.980 0.181
O 0.782 0.020 0.681
O 0.782 0.480 0.681
O 0.824 0.250 0.890
O 0.826 0.750 0.324
O 0.913 0.519 0.150
O 0.913 0.981 0.150
O 0.980 0.750 0.345

Peak list (10 most intense, 10° ≤ 2θ ≤ 80°, low angle first)
2theta  I_rel
24.4  38
24.7  24
24.9  100
26.6  58
27.5  72
31.5  38
32.5  40
41.1  23
43.7  27
46.0  18



The following is a theoretical powder diffractogram of Cs4CdSi2O7. It was derived from the GGA-PBE geometry in OQMD, using Cu Ka.

abc: 6.568 7.190 7.390
angles: 112.40 101.82 105.80
Atoms (fractional coordinates):
Cs 0.085 0.048 0.287
Cs 0.323 0.590 0.231
Cs 0.677 0.410 0.769
Cs 0.915 0.952 0.713
Cd 0.500 0.000 0.000
Si 0.206 0.570 0.717
Si 0.794 0.430 0.283
O 0.000 0.500 0.500
O 0.164 0.748 0.914
O 0.202 0.353 0.736
O 0.449 0.713 0.710
O 0.551 0.287 0.290
O 0.798 0.647 0.264
O 0.836 0.252 0.086

Peak list (10 most intense, 10° ≤ 2θ ≤ 80°, low angle first)
2theta  I_rel
23.7  49
25.8  33
26.4  30
26.8  73
27.1  26
27.9  100
29.1  29
32.5  50
33.8  29
34.4  52



The following is a theoretical powder diffractogram of Cs2Rb2CdP2. It was derived from the GGA-PBE geometry in OQMD, using Cu Ka.

abc: 10.142 10.142 10.142
angles: 34.56 34.56 34.56
Atoms (fractional coordinates):
Cs 0.208 0.208 0.208
Cs 0.792 0.792 0.792
Rb 0.389 0.389 0.389
Rb 0.611 0.611 0.611
Cd 0.000 0.000 0.000
P 0.085 0.085 0.085
P 0.915 0.915 0.915

Peak list (10 most intense, 10° ≤ 2θ ≤ 80°, low angle first)
2theta  I_rel
23.1  100
27.7  13
29.7  89
35.8  37
37.9  27
47.2  17
48.9  26
52.6  17
56.7  19
66.6  14